For Sr8CaCu4Re3O24, a structure optimized by DFT (GGA-PBE) gives the simulated X-ray powder pattern in this record (CuKα).
Kinematic intensities with the Lorentz-polarization factor, no thermal factor.

Peak list (12 most intense, 2θ from 10° to 90°, low angle first)
- d = 5.712 Å, I 5
- d = 4.664 Å, I 18
- d = 4.039 Å, I 7
- d = 3.613 Å, I 6
- d = 2.856 Å, I 100
- d = 2.436 Å, I 8
- d = 2.020 Å, I 32
- d = 1.649 Å, I 35
- d = 1.500 Å, I 4
- d = 1.428 Å, I 17
- d = 1.277 Å, I 14
- d = 1.166 Å, I 5

```
Sr8CaCu4Re3O24
1.0
8.0782 0.0000 0.0000
0.0000 8.0782 0.0000
0.0000 0.0000 8.0782
Sr Ca Cu Re O
8 1 4 3 24
direct
0.2297 0.2297 0.2297
0.2297 0.2297 0.7703
0.2297 0.7703 0.2297
0.2297 0.7703 0.7703
0.7703 0.2297 0.2297
0.7703 0.2297 0.7703
0.7703 0.7703 0.2297
0.7703 0.7703 0.7703
0.5000 0.5000 0.5000
0.0000 0.0000 0.0000
0.0000 0.0000 0.5000
0.0000 0.5000 0.0000
0.5000 0.0000 0.0000
0.0000 0.5000 0.5000
0.5000 0.0000 0.5000
0.5000 0.5000 0.0000
0.0000 0.0000 0.2535
0.0000 0.0000 0.7465
0.0000 0.2535 0.0000
0.0000 0.2634 0.5000
0.0000 0.5000 0.2634
0.0000 0.5000 0.7366
0.0000 0.7366 0.5000
0.0000 0.7465 0.0000
0.2299 0.5000 0.5000
0.2535 0.0000 0.0000
0.2634 0.0000 0.5000
0.2634 0.5000 0.0000
0.5000 0.0000 0.2634
0.5000 0.0000 0.7366
0.5000 0.2299 0.5000
0.5000 0.2634 0.0000
0.5000 0.5000 0.2299
0.5000 0.5000 0.7701
0.5000 0.7366 0.0000
0.5000 0.7701 0.5000
0.7366 0.0000 0.5000
0.7366 0.5000 0.0000
0.7465 0.0000 0.0000
0.7701 0.5000 0.5000
```

=====

For Ba5CdPt2, a structure optimized by DFT (GGA-PBE) gives the simulated X-ray powder pattern in this record (CuKα).
Kinematic intensities with the Lorentz-polarization factor, no thermal factor.

Peak list (12 most intense, 2θ from 10° to 90°, low angle first)
- d = 8.474 Å, I 25
- d = 4.647 Å, I 27
- d = 4.131 Å, I 41
- d = 3.713 Å, I 25
- d = 3.652 Å, I 28
- d = 3.057 Å, I 100
- d = 2.941 Å, I 41
- d = 2.825 Å, I 40
- d = 2.723 Å, I 57
- d = 2.394 Å, I 36
- d = 2.291 Å, I 42
- d = 1.362 Å, I 25

```
Ba5CdPt2
1.0
-2.3939 4.0864 8.4739
2.3939 -4.0864 8.4739
2.3939 4.0864 -8.4739
Ba Cd Pt
5 1 2
direct
0.0000 0.0000 0.0000
0.1055 0.3464 0.7591
0.4127 0.6536 0.7591
0.5873 0.3464 0.2409
0.8945 0.6536 0.2409
0.5000 0.0000 0.5000
0.1891 0.1891 0.0000
0.8109 0.8109 0.0000
```

=====

For Mo5Au, a structure optimized by DFT (GGA-PBE) gives the simulated X-ray powder pattern in this record (CuKα).
Kinematic intensities with the Lorentz-polarization factor, no thermal factor.

Peak list (12 most intense, 2θ from 10° to 90°, low angle first)
- d = 6.865 Å, I 26
- d = 2.365 Å, I 100
- d = 2.359 Å, I 70
- d = 2.288 Å, I 82
- d = 2.250 Å, I 77
- d = 2.119 Å, I 97
- d = 2.103 Å, I 99
- d = 1.678 Å, I 24
- d = 1.663 Å, I 23
- d = 1.445 Å, I 38
- d = 1.242 Å, I 24
- d = 1.224 Å, I 23

```
Mo5Au
1.0
5.3463 -1.3253 0.0000
5.3463 1.3253 0.0000
-1.7295 0.0000 6.8651
Mo Au
5 1
direct
0.0000 0.0000 0.0000
0.0630 0.0630 0.6338
0.3931 0.3931 0.3014
0.6614 0.6614 0.3344
0.7348 0.7348 0.9657
0.3326 0.3326 0.6709
```

=====

For NdCo3Si3, a structure optimized by DFT (GGA-PBE) gives the simulated X-ray powder pattern in this record (CuKα).
Kinematic intensities with the Lorentz-polarization factor, no thermal factor.

Peak list (12 most intense, 2θ from 10° to 90°, low angle first)
- d = 5.179 Å, I 15
- d = 4.757 Å, I 36
- d = 2.821 Å, I 100
- d = 2.342 Å, I 11
- d = 2.316 Å, I 22
- d = 2.307 Å, I 49
- d = 2.011 Å, I 29
- d = 1.984 Å, I 12
- d = 1.853 Å, I 17
- d = 1.782 Å, I 21
- d = 1.514 Å, I 14
- d = 1.412 Å, I 13

```
NdCo3Si3
1.0
3.0866 1.7820 6.9482
-3.0866 1.7820 6.9482
0.0000 -3.5641 6.9482
Nd Co Si
2 6 6
direct
0.1696 0.1696 0.1696
0.8304 0.8304 0.8304
0.0400 0.5809 0.2603
0.2603 0.0400 0.5809
0.4191 0.7397 0.9600
0.5809 0.2603 0.0400
0.7397 0.9600 0.4191
0.9600 0.4191 0.7397
0.1602 0.6790 0.3713
0.3210 0.6287 0.8398
0.3713 0.1602 0.6790
0.6287 0.8398 0.3210
0.6790 0.3713 0.1602
0.8398 0.3210 0.6287
```

=====

For Pm14PrTl, a structure optimized by DFT (GGA-PBE) gives the simulated X-ray powder pattern in this record (CuKα).
Kinematic intensities with the Lorentz-polarization factor, no thermal factor.

Peak list (12 most intense, 2θ from 10° to 90°, low angle first)
- d = 2.955 Å, I 100
- d = 2.567 Å, I 17
- d = 2.555 Å, I 34
- d = 1.811 Å, I 24
- d = 1.807 Å, I 12
- d = 1.547 Å, I 14
- d = 1.541 Å, I 29
- d = 1.478 Å, I 12
- d = 1.175 Å, I 12
- d = 1.173 Å, I 6
- d = 1.147 Å, I 5
- d = 1.143 Å, I 11

```
Pm14PrTl
1.0
7.2269 0.0000 0.0000
0.0000 7.2269 0.0000
0.0000 0.0000 10.2692
Pm Pr Tl
14 1 1
direct
0.0000 0.0000 0.0000
0.0000 0.5000 0.0000
0.0000 0.5000 0.5000
0.2482 0.2482 0.2530
0.2482 0.2482 0.7470
0.2482 0.7518 0.2530
0.2482 0.7518 0.7470
0.5000 0.0000 0.0000
0.5000 0.0000 0.5000
0.5000 0.5000 0.0000
0.7518 0.2482 0.2530
0.7518 0.2482 0.7470
0.7518 0.7518 0.2530
0.7518 0.7518 0.7470
0.5000 0.5000 0.5000
0.0000 0.0000 0.5000
```

=====

For Ho6TeSe3S2, a structure optimized by DFT (GGA-PBE) gives the simulated X-ray powder pattern in this record (CuKα).
Kinematic intensities with the Lorentz-polarization factor, no thermal factor.

Peak list (12 most intense, 2θ from 10° to 90°, low angle first)
- d = 3.328 Å, I 13
- d = 3.293 Å, I 14
- d = 2.867 Å, I 100
- d = 2.044 Å, I 11
- d = 2.029 Å, I 25
- d = 2.024 Å, I 21
- d = 2.013 Å, I 13
- d = 1.667 Å, I 6
- d = 1.647 Å, I 12
- d = 1.434 Å, I 8
- d = 1.282 Å, I 8
- d = 1.165 Å, I 8

```
Ho6TeSe3S2
1.0
8.8359 -2.0129 0.0000
8.8359 2.0129 0.0000
-1.9223 0.0000 7.9478
Ho Te Se S
6 1 3 2
direct
0.0126 0.0126 0.2759
0.3245 0.3245 0.8852
0.3292 0.3292 0.4290
0.6708 0.6708 0.5710
0.6755 0.6755 0.1148
0.9874 0.9874 0.7241
0.5000 0.5000 0.0000
0.1606 0.1606 0.8361
0.5000 0.5000 0.5000
0.8394 0.8394 0.1639
0.1708 0.1708 0.3406
0.8292 0.8292 0.6594
```

=====

For TlICl5, a structure optimized by DFT (GGA-PBE) gives the simulated X-ray powder pattern in this record (CuKα).
Kinematic intensities with the Lorentz-polarization factor, no thermal factor.

Peak list (12 most intense, 2θ from 10° to 90°, low angle first)
- d = 6.524 Å, I 100
- d = 4.942 Å, I 49
- d = 4.884 Å, I 36
- d = 4.230 Å, I 18
- d = 3.843 Å, I 18
- d = 3.571 Å, I 24
- d = 3.101 Å, I 26
- d = 2.853 Å, I 17
- d = 2.780 Å, I 17
- d = 2.710 Å, I 22
- d = 2.424 Å, I 14
- d = 1.849 Å, I 20

```
TlICl5
1.0
8.1890 -2.6335 0.0000
8.1890 2.6335 0.0000
-6.9661 0.0000 12.4045
Tl I Cl
2 2 10
direct
0.0445 0.9555 0.7500
0.9555 0.0445 0.2500
0.0000 0.5000 0.5000
0.5000 0.0000 0.0000
0.0531 0.1588 0.4939
0.1588 0.0531 0.9939
0.1619 0.2494 0.3203
0.2494 0.1619 0.8203
0.4541 0.5459 0.2500
0.5459 0.4541 0.7500
0.7506 0.8381 0.1797
0.8381 0.7506 0.6797
0.8412 0.9469 0.0061
0.9469 0.8412 0.5061
```

=====

For Ca2SbO, a structure optimized by DFT (GGA-PBE) gives the simulated X-ray powder pattern in this record (CuKα).
Kinematic intensities with the Lorentz-polarization factor, no thermal factor.

Peak list (12 most intense, 2θ from 10° to 90°, low angle first)
- d = 5.518 Å, I 100
- d = 3.619 Å, I 51
- d = 3.564 Å, I 74
- d = 3.045 Å, I 76
- d = 2.957 Å, I 45
- d = 2.941 Å, I 57
- d = 2.759 Å, I 93
- d = 2.690 Å, I 44
- d = 2.652 Å, I 46
- d = 2.539 Å, I 39
- d = 2.447 Å, I 50
- d = 2.315 Å, I 71

```
Ca2SbO
1.0
6.4985 0.0000 0.0000
0.0000 8.7158 0.0000
0.0000 0.0000 7.1277
Ca Sb O
8 4 4
direct
0.9996 0.0006 0.0000
0.0004 0.9994 0.5000
0.0688 0.3626 0.2517
0.4312 0.8626 0.7517
0.4996 0.4994 0.0000
0.5004 0.5006 0.5000
0.5688 0.1374 0.2517
0.9312 0.6374 0.7517
0.1515 0.2951 0.7496
0.3485 0.7951 0.2496
0.6515 0.2049 0.7496
0.8485 0.7049 0.2496
0.0896 0.8577 0.7505
0.4104 0.3577 0.2505
0.5896 0.6423 0.7505
0.9104 0.1423 0.2505
```

=====

For CaIn, a structure optimized by DFT (GGA-PBE) gives the simulated X-ray powder pattern in this record (CuKα).
Kinematic intensities with the Lorentz-polarization factor, no thermal factor.

Peak list (12 most intense, 2θ from 10° to 90°, low angle first)
- d = 5.777 Å, I 65
- d = 3.820 Å, I 27
- d = 3.043 Å, I 98
- d = 2.888 Å, I 26
- d = 2.630 Å, I 100
- d = 2.360 Å, I 37
- d = 2.344 Å, I 33
- d = 2.255 Å, I 16
- d = 2.222 Å, I 18
- d = 2.215 Å, I 18
- d = 1.611 Å, I 26
- d = 1.450 Å, I 14

```
CaIn
1.0
6.8375 -2.3437 0.0000
6.8375 2.3437 0.0000
-3.1591 0.0000 5.7839
Ca In
3 3
direct
0.0000 0.0000 0.0000
0.3101 0.3101 0.0796
0.6200 0.6200 0.6202
0.3097 0.3097 0.5791
0.6835 0.6835 0.2028
0.9360 0.9360 0.4561
```

=====

For Ba2GdCu4O8, a structure optimized by DFT (GGA-PBE) gives the simulated X-ray powder pattern in this record (CuKα).
Kinematic intensities with the Lorentz-polarization factor, no thermal factor.

Peak list (12 most intense, 2θ from 10° to 90°, low angle first)
- d = 3.751 Å, I 20
- d = 2.974 Å, I 46
- d = 2.775 Å, I 100
- d = 2.745 Å, I 100
- d = 2.584 Å, I 64
- d = 1.972 Å, I 22
- d = 1.951 Å, I 64
- d = 1.595 Å, I 38
- d = 1.558 Å, I 27
- d = 1.531 Å, I 29
- d = 1.387 Å, I 27
- d = 1.379 Å, I 19

```
Ba2GdCu4O8
1.0
1.9527 -13.8034 0.0000
1.9527 13.8034 0.0000
0.0000 0.0000 3.8980
Ba Gd Cu O
2 1 4 8
direct
0.1366 0.8634 0.0000
0.8634 0.1366 0.0000
0.0000 0.0000 0.0000
0.2867 0.7133 0.5000
0.4373 0.5627 0.5000
0.5627 0.4373 0.5000
0.7133 0.2867 0.5000
0.0531 0.9469 0.5000
0.2182 0.7818 0.5000
0.3536 0.6464 0.5000
0.4467 0.5533 0.0000
0.5533 0.4467 0.0000
0.6464 0.3536 0.5000
0.7818 0.2182 0.5000
0.9469 0.0531 0.5000
```

=====

For TlWBr6, a structure optimized by DFT (GGA-PBE) gives the simulated X-ray powder pattern in this record (CuKα).
Kinematic intensities with the Lorentz-polarization factor, no thermal factor.

Peak list (12 most intense, 2θ from 10° to 90°, low angle first)
- d = 6.940 Å, I 32
- d = 5.912 Å, I 100
- d = 4.069 Å, I 26
- d = 4.041 Å, I 19
- d = 3.470 Å, I 22
- d = 3.317 Å, I 21
- d = 3.010 Å, I 18
- d = 2.993 Å, I 38
- d = 2.795 Å, I 30
- d = 2.712 Å, I 19
- d = 2.617 Å, I 18
- d = 2.217 Å, I 26

```
TlWBr6
1.0
5.8322 -4.3177 0.0000
5.8322 4.3177 0.0000
-0.0783 0.0000 11.2838
Tl W Br
2 2 12
direct
0.0100 0.9900 0.7500
0.9900 0.0100 0.2500
0.0000 0.5000 0.5000
0.5000 0.0000 0.0000
0.1326 0.5330 0.2987
0.1489 0.1967 0.0036
0.1967 0.1489 0.5036
0.2729 0.5906 0.5944
0.4094 0.7271 0.9056
0.4670 0.8674 0.2013
0.5330 0.1326 0.7987
0.5906 0.2729 0.0944
0.7271 0.4094 0.4056
0.8033 0.8511 0.4964
0.8511 0.8033 0.9964
0.8674 0.4670 0.7013
```

=====

For Th3Ga6Rh5, a structure optimized by DFT (GGA-PBE) gives the simulated X-ray powder pattern in this record (CuKα).
Kinematic intensities with the Lorentz-polarization factor, no thermal factor.

Peak list (12 most intense, 2θ from 10° to 90°, low angle first)
- d = 3.864 Å, I 9
- d = 3.010 Å, I 25
- d = 2.673 Å, I 11
- d = 2.564 Å, I 20
- d = 2.549 Å, I 100
- d = 2.474 Å, I 11
- d = 2.370 Å, I 10
- d = 2.199 Å, I 9
- d = 2.146 Å, I 14
- d = 2.111 Å, I 27
- d = 1.630 Å, I 10
- d = 1.288 Å, I 13

```
Th3Ga6Rh5
1.0
4.2214 0.0000 0.0000
0.0000 12.8798 0.0000
0.0000 0.0000 9.5920
Th Ga Rh
6 12 10
direct
0.2500 0.0565 0.2472
0.2500 0.4435 0.2472
0.2500 0.7500 0.2712
0.7500 0.2500 0.7288
0.7500 0.5565 0.7528
0.7500 0.9435 0.7528
0.2500 0.0679 0.5833
0.2500 0.2500 0.0282
0.2500 0.2500 0.4246
0.2500 0.4321 0.5833
0.2500 0.6004 0.9876
0.2500 0.8996 0.9876
0.7500 0.1004 0.0124
0.7500 0.3996 0.0124
0.7500 0.5679 0.4167
0.7500 0.7500 0.5754
0.7500 0.7500 0.9718
0.7500 0.9321 0.4167
0.2500 0.0927 0.8553
0.2500 0.4073 0.8553
0.2500 0.6384 0.5428
0.2500 0.7500 0.7970
0.2500 0.8616 0.5428
0.7500 0.1384 0.4572
0.7500 0.2500 0.2030
0.7500 0.3616 0.4572
0.7500 0.5927 0.1447
0.7500 0.9073 0.1447
```